Starting from a cell relaxed with GGA-PBE, the X-ray powder pattern of ErZn11 was simulated for Cu Kα (λ = 1.5418 Å).
Lines closer than 0.1° are merged.

Largest 12 diffraction maxima, in order of rising 2θ, 10° ≤ 2θ ≤ 90°:
| d (Å) | intensity | index |
| --- | --- | --- |
| 3.102 | 13 | 1 1 2 |
| 2.687 | 41 | 3 2 1 |
| 2.384 | 100 | 3 1 2 |
| 2.357 | 68 | 4 2 0 |
| 2.223 | 31 | 1 0 3 |
| 2.085 | 11 | 4 0 2 |
| 2.048 | 12 | 2 1 3 |
| 2.014 | 43 | 5 0 1 |
| 1.939 | 25 | 4 2 2 |
| 1.881 | 13 | 5 2 1 |
| 1.366 | 30 | 5 5 2 |
| 1.178 | 14 | 8 4 0 |

```
data_ErZn11
_chemical_formula_sum 'Er4 Zn44'
_symmetry_space_group_name_H-M 'I 41/a m d'
_symmetry_Int_Tables_number 141
_cell_length_a 10.5389
_cell_length_b 10.5389
_cell_length_c 6.8226
_cell_angle_alpha 90.00
_cell_angle_beta 90.00
_cell_angle_gamma 90.00
loop_
_symmetry_equiv_pos_as_xyz
'x,y,z'
'-x,-y,-z'
'-y+1/4,x+3/4,z+1/4'
'y+1/4,-x+3/4,-z+1/4'
'-x+1/2,-y,z+1/2'
'x+1/2,y,-z+1/2'
'y+1/4,-x+1/4,z+3/4'
'-y+1/4,x+1/4,-z+3/4'
'x,-y,-z'
'-x,y,z'
'-y+1/4,-x+1/4,-z+3/4'
'y+1/4,x+1/4,z+3/4'
'-x+1/2,y,-z+1/2'
'x+1/2,-y,z+1/2'
'y+1/4,x+3/4,-z+1/4'
'-y+1/4,-x+3/4,z+1/4'
'x+1/2,y+1/2,z+1/2'
'-x+1/2,-y+1/2,-z+1/2'
'-y+3/4,x+1/4,z+3/4'
'y+3/4,-x+1/4,-z+3/4'
'-x,-y+1/2,z'
'x,y+1/2,-z'
'y+3/4,-x+3/4,z+1/4'
'-y+3/4,x+3/4,-z+1/4'
'x+1/2,-y+1/2,-z+1/2'
'-x+1/2,y+1/2,z+1/2'
'-y+3/4,-x+3/4,-z+1/4'
'y+3/4,x+3/4,z+1/4'
'-x,y+1/2,-z'
'x,-y+1/2,z'
'y+3/4,x+1/4,-z+3/4'
'-y+3/4,-x+1/4,z+3/4'
loop_
_atom_site_label
_atom_site_fract_x
_atom_site_fract_y
_atom_site_fract_z
Er1 0.0000 0.2500 0.3750
Zn1 0.0000 0.0000 0.0000
Zn2 0.0000 0.2500 0.8750
Zn3 0.1212 0.0453 0.6746
```

Starting from a cell relaxed with GGA-PBE, the X-ray powder pattern of Er4Zn was simulated for Cu Kα (λ = 1.5418 Å).
Lines closer than 0.1° are merged.

Largest 12 diffraction maxima, in order of rising 2θ, 10° ≤ 2θ ≤ 90°:
| d (Å) | intensity | index |
| --- | --- | --- |
| 2.847 | 33 | 0 0 2 |
| 2.835 | 94 | 1 4 1 |
| 2.746 | 100 | 2 1 1 |
| 2.446 | 11 | 2 3 1 |
| 2.315 | 12 | 1 3 2 |
| 1.977 | 10 | 1 5 2 |
| 1.747 | 13 | 3 5 0 |
| 1.642 | 19 | 1 4 3 |
| 1.624 | 15 | 2 1 3 |
| 1.489 | 24 | 3 5 2 |
| 1.445 | 17 | 2 9 1 |
| 1.187 | 9 | 5 4 1 |

```
data_Er4Zn
_chemical_formula_sum 'Er16 Zn4'
_symmetry_space_group_name_H-M 'I b a m'
_symmetry_Int_Tables_number 72
_symmetry_space_group_name_Hall '-I 2 2c'
_cell_length_a 6.4050
_cell_length_b 15.2038
_cell_length_c 5.6950
_cell_angle_alpha 90.00
_cell_angle_beta 90.00
_cell_angle_gamma 90.00
loop_
_atom_site_label
_atom_site_fract_x
_atom_site_fract_y
_atom_site_fract_z
Er1 0.1514 0.1880 0.0000
Er2 0.1568 0.4136 0.0000
Zn1 0.0000 0.0000 0.2500
```

Starting from a cell relaxed with GGA-PBE, the X-ray powder pattern of Er3Zn8 was simulated for Cu Kα (λ = 1.5418 Å).
Lines closer than 0.1° are merged.

Largest 12 diffraction maxima, in order of rising 2θ, 10° ≤ 2θ ≤ 90°:
| d (Å) | intensity | index |
| --- | --- | --- |
| 3.963 | 16 | 0 1 3 |
| 2.687 | 14 | 1 1 2 |
| 2.590 | 54 | 1 0 7 |
| 2.540 | 100 | 1 1 4 |
| 2.479 | 9 | 0 1 9 |
| 2.208 | 34 | 0 2 0 |
| 2.143 | 49 | 0 1 11 |
| 1.749 | 16 | 2 0 0 |
| 1.680 | 29 | 1 2 7 |
| 1.371 | 14 | 2 2 0 |
| 1.355 | 22 | 2 1 11 |
| 1.330 | 13 | 1 3 4 |

```
data_Er3Zn8
_chemical_formula_sum 'Er6 Zn16'
_symmetry_space_group_name_H-M 'I m m m'
_symmetry_Int_Tables_number 71
_symmetry_space_group_name_Hall '-I 2 2'
_cell_length_a 3.4989
_cell_length_b 4.4162
_cell_length_c 26.9603
_cell_angle_alpha 90.00
_cell_angle_beta 90.00
_cell_angle_gamma 90.00
loop_
_atom_site_label
_atom_site_fract_x
_atom_site_fract_y
_atom_site_fract_z
Er1 0.0000 0.0000 0.0000
Er2 0.0000 0.5000 0.1437
Zn1 0.0000 0.0000 0.2595
Zn2 0.0000 0.0000 0.4523
Zn3 0.0000 0.5000 0.3126
Zn4 0.0000 0.5000 0.4062
```

Starting from a cell relaxed with GGA-PBE, the X-ray powder pattern of ErZr3Zn8 was simulated for Cu Kα (λ = 1.5418 Å).
Lines closer than 0.1° are merged.

Largest 12 diffraction maxima, in order of rising 2θ, 10° ≤ 2θ ≤ 90°:
| d (Å) | intensity | index |
| --- | --- | --- |
| 2.662 | 46 | 1 1 0 |
| 2.416 | 87 | 1 0 3 |
| 2.306 | 14 | 2 0 0 |
| 2.257 | 100 | 1 1 2 |
| 2.225 | 78 | 2 0 1 |
| 2.127 | 12 | 0 0 4 |
| 2.027 | 10 | 0 2 2 |
| 1.485 | 33 | 2 1 3 |
| 1.446 | 23 | 0 3 2 |
| 1.369 | 28 | 0 2 5 |
| 1.331 | 26 | 2 2 0 |
| 1.166 | 16 | 1 3 3 |

```
data_ErZr3Zn8
_chemical_formula_sum 'Er1 Zr3 Zn8'
_symmetry_space_group_name_H-M 'P 3 m 1'
_symmetry_Int_Tables_number 156
_cell_length_a 5.3247
_cell_length_b 5.3247
_cell_length_c 8.5074
_cell_angle_alpha 90.00
_cell_angle_beta 90.00
_cell_angle_gamma 120.00
loop_
_symmetry_equiv_pos_as_xyz
'x,y,z'
'-y,x-y,z'
'-x+y,-x,z'
'-y,-x,z'
'-x+y,y,z'
'x,x-y,z'
loop_
_atom_site_label
_atom_site_fract_x
_atom_site_fract_y
_atom_site_fract_z
Er1 0.0000 0.0000 0.0000
Zr1 0.0000 0.0000 0.3777
Zr2 0.6667 0.3333 0.4995
Zr3 0.6667 0.3333 0.8591
Zn1 0.1628 0.3256 0.6811
Zn2 0.3333 0.6667 0.4329
Zn3 0.3333 0.6667 0.9320
Zn4 0.5059 0.0118 0.1876
```

Starting from a cell relaxed with GGA-PBE, the X-ray powder pattern of ErZr5Zn6 was simulated for Cu Kα (λ = 1.5418 Å).
Lines closer than 0.1° are merged.

Largest 12 diffraction maxima, in order of rising 2θ, 10° ≤ 2θ ≤ 90°:
| d (Å) | intensity | index |
| --- | --- | --- |
| 6.106 | 1 | 0 1 1 |
| 3.891 | 1 | 0 1 3 |
| 3.370 | 5 | 0 2 0 |
| 2.383 | 100 | 2 0 0 |
| 1.946 | 1 | 0 2 6 |
| 1.689 | 6 | 0 4 0 |
| 1.683 | 11 | 2 0 6 |
| 1.506 | 1 | 1 0 9 |
| 1.377 | 11 | 2 4 0 |
| 1.375 | 22 | 3 2 3 |
| 1.192 | 7 | 2 4 6 |
| 1.190 | 3 | 4 0 0 |

```
data_ErZr5Zn6
_chemical_formula_sum 'Er2 Zr10 Zn12'
_symmetry_space_group_name_H-M 'I m m m'
_symmetry_Int_Tables_number 71
_symmetry_space_group_name_Hall '-I 2 2'
_cell_length_a 4.7606
_cell_length_b 6.7549
_cell_length_c 14.2796
_cell_angle_alpha 90.00
_cell_angle_beta 90.00
_cell_angle_gamma 90.00
loop_
_atom_site_label
_atom_site_fract_x
_atom_site_fract_y
_atom_site_fract_z
Er1 0.0000 0.0000 0.0000
Zr1 0.0000 0.0000 0.3335
Zr2 0.0000 0.5000 0.0000
Zr3 0.0000 0.5000 0.3328
Zn1 0.0000 0.2448 0.5000
Zn2 0.0000 0.2527 0.1686
```

Starting from a cell relaxed with GGA-PBE, the X-ray powder pattern of Er2Zr was simulated for Cu Kα (λ = 1.5418 Å).
Lines closer than 0.1° are merged.

Largest 12 diffraction maxima, in order of rising 2θ, 10° ≤ 2θ ≤ 90°:
| d (Å) | intensity | index |
| --- | --- | --- |
| 3.632 | 5 | 0 0 4 |
| 3.297 | 7 | 1 0 1 |
| 2.774 | 100 | 1 0 3 |
| 2.421 | 16 | 0 0 6 |
| 2.393 | 34 | 1 1 0 |
| 1.702 | 21 | 1 1 6 |
| 1.692 | 12 | 2 0 0 |
| 1.457 | 11 | 1 0 9 |
| 1.445 | 28 | 2 1 3 |
| 1.387 | 11 | 2 0 6 |
| 1.104 | 9 | 2 1 9 |
| 1.099 | 6 | 3 0 3 |

```
data_Er2Zr
_chemical_formula_sum 'Er4 Zr2'
_symmetry_space_group_name_H-M 'I 4/m m m'
_symmetry_Int_Tables_number 139
_symmetry_space_group_name_Hall '-I 4 2'
_cell_length_a 3.3849
_cell_length_b 3.3849
_cell_length_c 14.5280
_cell_angle_alpha 90.00
_cell_angle_beta 90.00
_cell_angle_gamma 90.00
loop_
_atom_site_label
_atom_site_fract_x
_atom_site_fract_y
_atom_site_fract_z
Er1 0.0000 0.0000 0.1565
Zr1 0.0000 0.0000 0.5000
```

Starting from a cell relaxed with GGA-PBE, the X-ray powder pattern of Er2Zr was simulated for Cu Kα (λ = 1.5418 Å).
Lines closer than 0.1° are merged.

Largest 12 diffraction maxima, in order of rising 2θ, 10° ≤ 2θ ≤ 90°:
| d (Å) | intensity | index |
| --- | --- | --- |
| 4.107 | 11 | 0 0 2 |
| 2.943 | 19 | 1 1 0 |
| 2.882 | 44 | 1 1 -1 |
| 2.738 | 43 | 0 0 3 |
| 2.671 | 100 | 2 0 -2 |
| 2.540 | 60 | 2 0 1 |
| 2.267 | 16 | 1 1 2 |
| 2.136 | 20 | 1 1 -3 |
| 1.787 | 13 | 2 0 3 |
| 1.711 | 34 | 0 2 0 |
| 1.597 | 26 | 2 0 -5 |
| 1.451 | 37 | 3 1 2 |

```
data_Er2Zr
_chemical_formula_sum 'Er4 Zr2'
_symmetry_space_group_name_H-M 'C 1 2/m 1'
_symmetry_Int_Tables_number 12
_cell_length_a 5.9237
_cell_length_b 3.4255
_cell_length_c 8.4496
_cell_angle_alpha 90.00
_cell_angle_beta 103.56
_cell_angle_gamma 90.00
loop_
_symmetry_equiv_pos_as_xyz
'x,y,z'
'-x,-y,-z'
'-x,y,-z'
'x,-y,z'
'x+1/2,y+1/2,z'
'-x+1/2,-y+1/2,-z'
'-x+1/2,y+1/2,-z'
'x+1/2,-y+1/2,z'
loop_
_atom_site_label
_atom_site_fract_x
_atom_site_fract_y
_atom_site_fract_z
Er1 0.2269 0.0000 0.1821
Zr1 0.0000 0.0000 0.5000
```

Starting from a cell relaxed with GGA-PBE, the X-ray powder pattern of Eu was simulated for Cu Kα (λ = 1.5418 Å).
Lines closer than 0.1° are merged.

Largest 12 diffraction maxima, in order of rising 2θ, 10° ≤ 2θ ≤ 90°:
| d (Å) | intensity | index |
| --- | --- | --- |
| 3.298 | 38 | 0 0 4 |
| 3.253 | 41 | 1 0 1 |
| 2.991 | 100 | 1 0 2 |
| 2.668 | 25 | 1 0 3 |
| 2.074 | 12 | 1 0 5 |
| 1.938 | 26 | 1 1 0 |
| 1.839 | 24 | 1 0 6 |
| 1.671 | 32 | 1 1 4 |
| 1.626 | 16 | 2 0 2 |
| 1.256 | 13 | 1 1 8 |
| 1.246 | 14 | 2 1 2 |
| 1.099 | 11 | 0 0 12 |

```
data_Eu
_chemical_formula_sum 'Eu4'
_symmetry_space_group_name_H-M 'P 63/m m c'
_symmetry_Int_Tables_number 194
_symmetry_space_group_name_Hall '-P 6c 2c'
_cell_length_a 3.8757
_cell_length_b 3.8757
_cell_length_c 13.1902
_cell_angle_alpha 90.00
_cell_angle_beta 90.00
_cell_angle_gamma 120.00
loop_
_atom_site_label
_atom_site_fract_x
_atom_site_fract_y
_atom_site_fract_z
Eu1 0.0000 0.0000 0.0000
Eu2 0.3333 0.6667 0.2500
```

Starting from a cell relaxed with GGA-PBE, the X-ray powder pattern of Eu2GaF was simulated for Cu Kα (λ = 1.5418 Å).
Lines closer than 0.1° are merged.

Largest 12 diffraction maxima, in order of rising 2θ, 10° ≤ 2θ ≤ 90°:
| d (Å) | intensity | index |
| --- | --- | --- |
| 3.634 | 12 | 0 0 6 |
| 3.268 | 40 | 0 1 2 |
| 2.900 | 100 | 1 0 4 |
| 2.694 | 19 | 0 1 5 |
| 2.423 | 10 | 0 0 9 |
| 2.133 | 31 | 0 1 8 |
| 1.978 | 36 | 1 1 0 |
| 1.737 | 9 | 1 1 6 |
| 1.634 | 18 | 0 2 4 |
| 1.532 | 15 | 1 1 9 |
| 1.506 | 10 | 1 0 13 |
| 1.260 | 15 | 2 1 4 |

```
data_Eu2GaF
_chemical_formula_sum 'Eu6 Ga3 F3'
_symmetry_space_group_name_H-M 'R -3 m'
_symmetry_Int_Tables_number 166
_symmetry_space_group_name_Hall '-R 3 2"'
_cell_length_a 3.9556
_cell_length_b 3.9556
_cell_length_c 21.8042
_cell_angle_alpha 90.00
_cell_angle_beta 90.00
_cell_angle_gamma 120.00
loop_
_atom_site_label
_atom_site_fract_x
_atom_site_fract_y
_atom_site_fract_z
Eu1 0.0000 0.0000 0.2362
Ga1 0.0000 0.0000 0.0000
F1 0.0000 0.0000 0.5000
```

Starting from a cell relaxed with GGA-PBE, the X-ray powder pattern of KEuF4 was simulated for Cu Kα (λ = 1.5418 Å).
Lines closer than 0.1° are merged.

Largest 12 diffraction maxima, in order of rising 2θ, 10° ≤ 2θ ≤ 90°:
| d (Å) | intensity | index |
| --- | --- | --- |
| 7.821 | 70 | 0 0 2 |
| 4.898 | 52 | 1 0 2 |
| 3.320 | 63 | 1 0 4 |
| 3.136 | 100 | 2 0 0 |
| 3.027 | 35 | 0 1 3 |
| 2.394 | 28 | 0 1 5 |
| 2.179 | 50 | 2 1 3 |
| 1.904 | 26 | 2 1 5 |
| 1.846 | 20 | 3 0 4 |
| 1.832 | 28 | 1 1 7 |
| 1.812 | 23 | 3 1 1 |
| 1.622 | 16 | 1 2 4 |

```
data_KEuF4
_chemical_formula_sum 'K4 Eu4 F16'
_symmetry_space_group_name_H-M 'P n m a'
_symmetry_Int_Tables_number 62
_cell_length_a 6.2817
_cell_length_b 3.7170
_cell_length_c 15.6429
_cell_angle_alpha 90.00
_cell_angle_beta 90.00
_cell_angle_gamma 90.00
loop_
_symmetry_equiv_pos_as_xyz
'x,y,z'
'-x,-y,-z'
'-x+1/2,-y,z+1/2'
'x+1/2,y,-z+1/2'
'x+1/2,-y+1/2,-z+1/2'
'-x+1/2,y+1/2,z+1/2'
'-x,y+1/2,-z'
'x,-y+1/2,z'
loop_
_atom_site_label
_atom_site_fract_x
_atom_site_fract_y
_atom_site_fract_z
K1 0.2242 0.2500 0.2001
Eu1 0.2488 0.7500 0.4397
F1 0.0020 0.2500 0.0577
F2 0.0915 0.2500 0.8078
F3 0.1074 0.2500 0.3661
F4 0.1340 0.2500 0.5379
```